# MgAg3F6
Theoretical PXRD pattern, Cu Kα. Input: a structure optimized by DFT (GGA-PBE).
Kinematic intensities with the Lorentz-polarization factor, no thermal factor.

Structure:
a = 5.5425 Å, b = 5.8196 Å, c = 10.3966 Å
α = 90.00°, β = 121.42°, γ = 90.00°
Space group P2_1/c (No. 14)
Unique sites:
Mg 0.0000 0.0000 0.0000
Ag 0.2383 0.0773 0.7622
Ag 0.5000 0.0000 0.5000
F 0.0871 0.2187 0.4164
F 0.2215 0.6882 0.4314
F 0.3461 0.0717 0.2032

Most intense lines, 10 to 90 degrees two-theta, in order of rising 2θ:
index  Position (°2θ)  I (rel.)
1 1 1  29.9  94.9
1 1 -3  30.2  100.0
2 0 -2  32.3  49.8
0 0 4  40.7  30.9
2 2 -2  45.2  28.1
1 3 0  50.9  27.6